This entry pairs a crystal structure of Hf3Zr3FeTe2 with its computed powder X-ray diffraction pattern. Radiation: Cu Kα (λ = 1.5418 Å). Structure: DFT lattice parameters and positions (GGA-PBE).

Cell and atoms:
```
data_Hf3Zr3FeTe2
_space_group_name_H-M_alt 'P -6 2 m'
_space_group_IT_number 189
_space_group_name_Hall 'P -6 -2'
_cell_length_a 7.7898
_cell_length_b 7.7898
_cell_length_c 3.5671
_cell_angle_alpha 90.00
_cell_angle_beta 90.00
_cell_angle_gamma 120.00
loop_
_atom_site_label
_atom_site_type_symbol
_atom_site_fract_x
_atom_site_fract_y
_atom_site_fract_z
Hf1 Hf 0.0000 0.7636 0.0000
Zr1 Zr 0.0000 0.4011 0.5000
Fe1 Fe 0.0000 0.0000 0.5000
Te1 Te 0.3333 0.6667 0.0000
```

Peak list (10 most intense, 2θ = 10–80°, low angle first)
d/Å, 2θ/deg, intensity, (hkl)
3.567, 24.96, 23, 0 0 1
2.631, 34.08, 98, 1 1 1
2.550, 35.20, 100, 2 1 0
2.451, 36.67, 70, 2 0 1
2.249, 40.10, 31, 3 0 0
2.074, 43.63, 66, 2 1 1
1.784, 51.22, 21, 0 0 2
1.461, 63.67, 36, 2 1 2
1.420, 65.77, 31, 3 2 1
1.361, 69.02, 22, 4 1 1

---

This entry pairs a crystal structure of Hf9FeW4 with its computed powder X-ray diffraction pattern. Radiation: Cu Kα (λ = 1.5418 Å). Structure: DFT lattice parameters and positions (GGA-PBE).

Cell and atoms:
```
data_Hf9FeW4
_space_group_name_H-M_alt 'P 63/m m c'
_space_group_IT_number 194
_space_group_name_Hall '-P 6c 2c'
_cell_length_a 8.6807
_cell_length_b 8.6807
_cell_length_c 8.4509
_cell_angle_alpha 90.00
_cell_angle_beta 90.00
_cell_angle_gamma 120.00
loop_
_atom_site_label
_atom_site_type_symbol
_atom_site_fract_x
_atom_site_fract_y
_atom_site_fract_z
Hf1 Hf 0.0827 0.5413 0.2500
Hf2 Hf 0.2018 0.4037 0.5594
Fe1 Fe 0.3333 0.6667 0.7500
W1 W 0.0000 0.0000 0.0000
W2 W 0.1122 0.2244 0.2500
```

Peak list (10 most intense, 2θ = 10–80°, low angle first)
d/Å, 2θ/deg, intensity, (hkl)
2.638, 33.99, 27, 1 0 3
2.506, 35.83, 18, 3 0 0
2.403, 37.43, 78, 3 0 1
2.358, 38.17, 100, 2 1 2
2.254, 40.00, 46, 2 0 3
2.170, 41.62, 19, 2 2 0
1.471, 63.22, 27, 3 2 3
1.447, 64.40, 20, 3 3 0
1.417, 65.94, 23, 5 0 2
1.401, 66.76, 29, 3 0 5

---

This entry pairs a crystal structure of ScInFeHg with its computed powder X-ray diffraction pattern. Radiation: Cu Kα (λ = 1.5418 Å). Structure: DFT lattice parameters and positions (GGA-PBE).

Cell and atoms:
```
data_ScInFeHg
_space_group_name_H-M_alt 'F -4 3 m'
_space_group_IT_number 216
_space_group_name_Hall 'F -4 2 3'
_cell_length_a 6.7456
_cell_length_b 6.7456
_cell_length_c 6.7456
_cell_angle_alpha 90.00
_cell_angle_beta 90.00
_cell_angle_gamma 90.00
loop_
_atom_site_label
_atom_site_type_symbol
_atom_site_fract_x
_atom_site_fract_y
_atom_site_fract_z
Sc1 Sc 0.0000 0.0000 0.0000
In1 In 0.0000 0.0000 0.5000
Fe1 Fe 0.2500 0.2500 0.7500
Hg1 Hg 0.2500 0.2500 0.2500
```

Peak list (10 most intense, 2θ = 10–80°, low angle first)
d/Å, 2θ/deg, intensity, (hkl)
3.895, 22.83, 33, 1 1 1
3.373, 26.43, 7, 2 0 0
2.385, 37.72, 100, 2 2 0
2.034, 44.55, 18, 3 1 1
1.947, 46.64, 2, 2 2 2
1.686, 54.41, 17, 4 0 0
1.548, 59.76, 8, 3 3 1
1.508, 61.47, 3, 4 2 0
1.377, 68.09, 34, 4 2 2
1.298, 72.86, 6, 5 1 1